This entry pairs a crystal structure of TaNb2Te5 with its simulated powder diffractogram. Radiation: Cu Kα X-rays. Structure: a cell relaxed with GGA-PBE.

Principal peaks in the range 2θ = 5–70°, low angle first:
index	d [Å]	Rel. int.
0 2 0	6.920	1000
1 1 0	4.661	249
0 2 2	3.200	193
1 3 1	2.865	361
1 3 -2	2.723	389
2 0 -1	2.559	389
0 4 2	2.498	359
0 0 3	2.404	393
2 4 -2	1.947	201
2 4 1	1.839	252

```
data_TaNb2Te5
_chemical_formula_sum 'Ta2 Nb4 Te10'
_cell_length_a 5.1341
_cell_length_b 13.8395
_cell_length_c 7.4855
_cell_angle_alpha 90.00
_cell_angle_beta 105.36
_cell_angle_gamma 90.00
_symmetry_space_group_name_H-M 'C 1 2/m 1'
_symmetry_Int_Tables_number 12
_symmetry_space_group_name_Hall '-C 2y'
loop_
_atom_site_label
_atom_site_fract_x
_atom_site_fract_y
_atom_site_fract_z
Ta1 0.0000 0.0000 0.0000
Nb1 0.2300 0.5000 0.3861
Te1 0.0000 0.5000 0.0000
Te2 0.1338 0.1309 0.3117
```

=====

This entry pairs a crystal structure of TaNb2Te3 with its simulated powder diffractogram. Radiation: Cu Kα X-rays. Structure: a cell relaxed with GGA-PBE.

Principal peaks in the range 2θ = 5–70°, low angle first:
index	d [Å]	Rel. int.
1 0 0	7.974	1000
0 0 3	3.520	366
1 1 2	2.683	525
2 1 -1	2.661	618
0 1 3	2.507	697
3 0 1	2.469	202
2 0 -4	2.422	346
1 1 3	2.305	308
3 1 0	2.133	366
0 2 0	1.786	238

```
data_TaNb2Te3
_chemical_formula_sum 'Ta2 Nb4 Te6'
_cell_length_a 8.1207
_cell_length_b 3.5724
_cell_length_c 10.7564
_cell_angle_alpha 90.00
_cell_angle_beta 100.91
_cell_angle_gamma 90.00
_symmetry_space_group_name_H-M 'P 1 21/m 1'
_symmetry_Int_Tables_number 11
_symmetry_space_group_name_Hall '-P 2yb'
loop_
_atom_site_label
_atom_site_fract_x
_atom_site_fract_y
_atom_site_fract_z
Ta1 0.0846 0.2500 0.2539
Nb1 0.0920 0.2500 0.5779
Nb2 0.1476 0.7500 0.0560
Te1 0.1797 0.2500 0.8455
Te2 0.2766 0.7500 0.4525
Te3 0.3976 0.2500 0.1764
```

=====

This entry pairs a crystal structure of Ta3Ti2Nb with its simulated powder diffractogram. Radiation: Cu Kα X-rays. Structure: a cell relaxed with GGA-PBE.

Principal peaks in the range 2θ = 5–70°, low angle first:
index	d [Å]	Rel. int.
0 1 1	5.397	227
-1 1 1	3.524	164
0 1 -2	2.796	53
1 -1 2	2.396	58
1 2 2	2.334	507
2 0 0	2.323	1000
2 1 1	2.136	67
0 4 1	1.649	86
2 0 3	1.644	171
3 2 2	1.345	260

```
data_Ta3Ti2Nb
_chemical_formula_sum 'Ta6 Ti4 Nb2'
_cell_length_a 4.6523
_cell_length_b 6.5960
_cell_length_c 7.1740
_cell_angle_alpha 76.29
_cell_angle_beta 90.00
_cell_angle_gamma 89.99
_symmetry_space_group_name_H-M 'P -1'
_symmetry_Int_Tables_number 2
_symmetry_space_group_name_Hall '-P 1'
loop_
_atom_site_label
_atom_site_fract_x
_atom_site_fract_y
_atom_site_fract_z
Ta1 0.2495 0.2909 0.3312
Ta2 0.2500 0.6233 0.0002
Ta3 0.2502 0.9572 0.6690
Ti1 0.2501 0.1265 0.0011
Ti2 0.2511 0.4610 0.6617
Nb1 0.2497 0.7932 0.3305
```

=====

This entry pairs a crystal structure of Ta5Ti2Nb4 with its simulated powder diffractogram. Radiation: Cu Kα X-rays. Structure: a cell relaxed with GGA-PBE.

Principal peaks in the range 2θ = 5–70°, low angle first:
index	d [Å]	Rel. int.
2 0 -1	6.135	647
0 0 2	3.696	268
1 1 0	2.727	260
1 1 -1	2.566	471
3 1 0	2.544	300
2 0 -3	2.429	1000
8 0 -1	2.416	974
6 0 2	2.401	956
3 1 1	2.388	434
1 1 -2	2.203	414

```
data_Ta5Ti2Nb4
_chemical_formula_sum 'Ta10 Ti4 Nb8'
_cell_length_a 20.0460
_cell_length_b 2.7524
_cell_length_c 7.4074
_cell_angle_alpha 90.00
_cell_angle_beta 93.67
_cell_angle_gamma 90.00
_symmetry_space_group_name_H-M 'C 1 2/m 1'
_symmetry_Int_Tables_number 12
_symmetry_space_group_name_Hall '-C 2y'
loop_
_atom_site_label
_atom_site_fract_x
_atom_site_fract_y
_atom_site_fract_z
Ta1 0.0000 0.0000 0.0000
Ta2 0.1372 0.0000 0.0866
Ta3 0.1833 0.0000 0.4632
Ti1 0.0877 0.0000 0.7177
Nb1 0.0474 0.5000 0.3584
Nb2 0.2217 0.5000 0.8195
```

=====

This entry pairs a crystal structure of TaTi6Nb2 with its simulated powder diffractogram. Radiation: Cu Kα X-rays. Structure: a cell relaxed with GGA-PBE.

Principal peaks in the range 2θ = 5–70°, low angle first:
index	d [Å]	Rel. int.
4 0 0	4.230	326
1 1 1	3.750	583
2 2 0	3.438	237
4 2 -1	2.658	198
2 0 -2	2.516	365
5 1 1	2.338	1000
6 2 0	2.257	587
1 3 -1	2.245	873
1 1 2	2.198	383
8 2 -2	1.680	336

```
data_TaTi6Nb2
_chemical_formula_sum 'Ta4 Ti24 Nb8'
_cell_length_a 17.6506
_cell_length_b 7.5264
_cell_length_c 5.0323
_cell_angle_alpha 90.00
_cell_angle_beta 106.53
_cell_angle_gamma 90.00
_symmetry_space_group_name_H-M 'C 1 2/c 1'
_symmetry_Int_Tables_number 15
_symmetry_space_group_name_Hall '-C 2yc'
loop_
_atom_site_label
_atom_site_fract_x
_atom_site_fract_y
_atom_site_fract_z
Ta1 0.0000 0.2497 0.2500
Ti1 0.0828 0.0741 0.7547
Ti2 0.0827 0.4263 0.9115
Ti3 0.1654 0.2501 0.4152
Nb1 0.2501 0.0806 0.0886
```

=====

This entry pairs a crystal structure of Ta2Ti3Nb7 with its simulated powder diffractogram. Radiation: Cu Kα X-rays. Structure: a cell relaxed with GGA-PBE.

Principal peaks in the range 2θ = 5–70°, low angle first:
index	d [Å]	Rel. int.
0 0 1	13.809	141
0 1 -2	4.194	348
0 2 -1	2.355	512
1 1 2	2.338	1000
1 1 -4	2.330	989
0 0 6	2.301	475
2 0 -1	1.655	169
0 2 5	1.646	329
1 3 1	1.356	255
2 2 -2	1.354	254

```
data_Ta2Ti3Nb7
_chemical_formula_sum 'Ta2 Ti3 Nb7'
_cell_length_a 3.3094
_cell_length_b 4.7107
_cell_length_c 14.0956
_cell_angle_alpha 99.57
_cell_angle_beta 96.45
_cell_angle_gamma 90.00
_symmetry_space_group_name_H-M 'P -1'
_symmetry_Int_Tables_number 2
_symmetry_space_group_name_Hall '-P 1'
loop_
_atom_site_label
_atom_site_fract_x
_atom_site_fract_y
_atom_site_fract_z
Ta1 0.1679 0.1662 0.3342
Ti1 0.0000 0.0000 0.0000
Ti2 0.3327 0.3348 0.6677
Nb1 0.0829 0.5811 0.1634
Nb2 0.2509 0.7507 0.5018
Nb3 0.4140 0.9158 0.8301
Nb4 0.5000 0.5000 0.0000
```

=====

This entry pairs a crystal structure of Ta5Ti4Nb4 with its simulated powder diffractogram. Radiation: Cu Kα X-rays. Structure: a cell relaxed with GGA-PBE.

Principal peaks in the range 2θ = 5–70°, low angle first:
index	d [Å]	Rel. int.
0 0 1	7.353	230
2 0 -1	6.441	202
3 1 -1	3.248	75
1 1 -2	3.112	86
0 2 0	2.334	1000
4 0 1	2.328	992
4 2 1	1.650	226
6 0 -5	1.645	110
5 3 -2	1.347	339
6 2 -5	1.345	166

```
data_Ta5Ti4Nb4
_chemical_formula_sum 'Ta10 Ti8 Nb8'
_cell_length_a 13.5542
_cell_length_b 4.6735
_cell_length_c 8.5535
_cell_angle_alpha 90.00
_cell_angle_beta 120.73
_cell_angle_gamma 90.00
_symmetry_space_group_name_H-M 'C 1 2/m 1'
_symmetry_Int_Tables_number 12
_symmetry_space_group_name_Hall '-C 2y'
loop_
_atom_site_label
_atom_site_fract_x
_atom_site_fract_y
_atom_site_fract_z
Ta1 0.0000 0.0000 0.0000
Ta2 0.0384 0.5000 0.8475
Ta3 0.1932 0.5000 0.2389
Ti1 0.0808 0.0000 0.6994
Ti2 0.1211 0.5000 0.5442
Nb1 0.1498 0.0000 0.3881
Nb2 0.2325 0.0000 0.0787
```

=====

This entry pairs a crystal structure of Ta5Ti4Nb2 with its simulated powder diffractogram. Radiation: Cu Kα X-rays. Structure: a cell relaxed with GGA-PBE.

Principal peaks in the range 2θ = 5–70°, low angle first:
index	d [Å]	Rel. int.
1 4 0	3.589	488
2 1 0	3.526	177
0 0 1	3.356	294
1 4 1	2.451	1000
2 2 1	2.356	819
3 2 0	2.310	404
1 7 0	2.246	706
1 5 1	2.240	653
0 0 2	1.678	255
4 6 1	1.377	197

```
data_Ta5Ti4Nb2
_chemical_formula_sum 'Ta10 Ti8 Nb4'
_cell_length_a 7.2185
_cell_length_b 16.5447
_cell_length_c 3.3565
_cell_angle_alpha 90.00
_cell_angle_beta 90.00
_cell_angle_gamma 90.00
_symmetry_space_group_name_H-M 'P b a m'
_symmetry_Int_Tables_number 55
_symmetry_space_group_name_Hall '-P 2 2ab'
loop_
_atom_site_label
_atom_site_fract_x
_atom_site_fract_y
_atom_site_fract_z
Ta1 0.0000 0.0000 0.0000
Ta2 0.1097 0.4228 0.0000
Ta3 0.2277 0.1864 0.0000
Ti1 0.0927 0.8655 0.5000
Ti2 0.2115 0.5508 0.5000
Nb1 0.0378 0.2920 0.5000
```

=====

This entry pairs a crystal structure of TaTi14Nb with its simulated powder diffractogram. Radiation: Cu Kα X-rays. Structure: a cell relaxed with GGA-PBE.

Principal peaks in the range 2θ = 5–70°, low angle first:
index	d [Å]	Rel. int.
1 0 0	9.056	254
0 2 0	4.595	77
1 2 0	4.098	95
1 2 2	2.584	91
2 3 1	2.371	76
2 2 2	2.317	1000
0 4 0	2.298	238
4 0 0	2.264	261
0 0 4	1.665	68
4 4 0	1.613	142

```
data_TaTi14Nb
_chemical_formula_sum 'Ta2 Ti28 Nb2'
_cell_length_a 9.0563
_cell_length_b 9.1907
_cell_length_c 6.6597
_cell_angle_alpha 90.00
_cell_angle_beta 90.00
_cell_angle_gamma 90.00
_symmetry_space_group_name_H-M 'A m m 2'
_symmetry_Int_Tables_number 38
_symmetry_space_group_name_Hall 'A 2 -2'
loop_
_atom_site_label
_atom_site_fract_x
_atom_site_fract_y
_atom_site_fract_z
Ta1 0.0000 0.0000 0.0000
Ti1 0.0000 0.2401 0.2621
Ti2 0.2307 0.0000 0.2869
Ti3 0.2551 0.2231 0.0037
Ti4 0.2627 0.0000 0.7232
Ti5 0.5000 0.0000 0.0123
Ti6 0.5000 0.0000 0.4281
Ti7 0.5000 0.2154 0.7314
Nb1 0.0000 0.0000 0.5300
```

=====

This entry pairs a crystal structure of TaTi2Nb with its simulated powder diffractogram. Radiation: Cu Kα X-rays. Structure: a cell relaxed with GGA-PBE.

Principal peaks in the range 2θ = 5–70°, low angle first:
index	d [Å]	Rel. int.
1 0 0	9.446	515
0 1 1	3.875	362
2 1 0	3.600	598
2 1 -1	3.061	375
0 2 1	2.473	920
2 0 -2	2.407	1000
4 0 0	2.361	867
2 0 2	2.285	799
2 2 -1	2.216	735
2 2 1	2.166	831

```
data_TaTi2Nb
_chemical_formula_sum 'Ta4 Ti8 Nb4'
_cell_length_a 9.4627
_cell_length_b 5.5633
_cell_length_c 5.4091
_cell_angle_alpha 90.00
_cell_angle_beta 93.44
_cell_angle_gamma 90.00
_symmetry_space_group_name_H-M 'P 1 21/c 1'
_symmetry_Int_Tables_number 14
_symmetry_space_group_name_Hall '-P 2ybc'
loop_
_atom_site_label
_atom_site_fract_x
_atom_site_fract_y
_atom_site_fract_z
Ta1 0.1323 0.1241 0.3797
Ti1 0.1164 0.6290 0.4053
Ti2 0.3834 0.1286 0.1025
Nb1 0.3664 0.6210 0.1280
```

=====

This entry pairs a crystal structure of Ta2TiNb3 with its simulated powder diffractogram. Radiation: Cu Kα X-rays. Structure: a cell relaxed with GGA-PBE.

Principal peaks in the range 2θ = 5–70°, low angle first:
index	d [Å]	Rel. int.
2 0 -1	6.616	88
1 1 0	4.320	45
1 1 -1	4.054	110
3 1 -3	2.344	505
3 1 1	2.331	1000
0 0 4	1.656	86
6 2 -2	1.649	169
6 0 -6	1.355	43
0 2 4	1.350	257
3 3 1	1.347	88

```
data_Ta2TiNb3
_chemical_formula_sum 'Ta8 Ti4 Nb12'
_cell_length_a 13.9768
_cell_length_b 4.6694
_cell_length_c 8.1301
_cell_angle_alpha 90.00
_cell_angle_beta 125.42
_cell_angle_gamma 90.00
_symmetry_space_group_name_H-M 'C 1 2/m 1'
_symmetry_Int_Tables_number 12
_symmetry_space_group_name_Hall '-C 2y'
loop_
_atom_site_label
_atom_site_fract_x
_atom_site_fract_y
_atom_site_fract_z
Ta1 0.0395 0.0000 0.3737
Ta2 0.2098 0.5000 0.3745
Ti1 0.1275 0.5000 0.6286
Nb1 0.0412 0.5000 0.8735
Nb2 0.1237 0.0000 0.1235
Nb3 0.2093 0.0000 0.8783
```

=====

This entry pairs a crystal structure of Ta4Ti2Nb3 with its simulated powder diffractogram. Radiation: Cu Kα X-rays. Structure: a cell relaxed with GGA-PBE.

Principal peaks in the range 2θ = 5–70°, low angle first:
index	d [Å]	Rel. int.
1 1 0	6.392	188
1 1 -1	5.302	184
0 4 0	2.469	604
3 1 1	2.420	571
3 1 -2	2.412	564
0 2 3	2.301	1000
3 3 1	1.989	316
3 3 -2	1.984	318
0 6 3	1.391	196
6 2 -1	1.364	185

```
data_Ta4Ti2Nb3
_chemical_formula_sum 'Ta16 Ti8 Nb12'
_cell_length_a 8.5159
_cell_length_b 9.8747
_cell_length_c 7.9239
_cell_angle_alpha 90.00
_cell_angle_beta 100.05
_cell_angle_gamma 90.00
_symmetry_space_group_name_H-M 'C 1 2/c 1'
_symmetry_Int_Tables_number 15
_symmetry_space_group_name_Hall '-C 2yc'
loop_
_atom_site_label
_atom_site_fract_x
_atom_site_fract_y
_atom_site_fract_z
Ta1 0.0563 0.1259 0.0832
Ta2 0.2235 0.3753 0.5859
Ti1 0.1097 0.3766 0.9120
Nb1 0.0000 0.3752 0.2500
Nb2 0.1688 0.1256 0.7553
```